Diffraction record for CdOs2Pt. The X-ray diffraction stick pattern is theoretical, not measured: it uses DFT lattice parameters and positions (GGA-PBE) and CuKα.
Neutral-atom scattering factors, no anomalous dispersion.

Largest 8 diffraction maxima, most intense first, 2θ from 10° to 90°:
Position (°2θ)  Rel. int.
39.2  100
45.1  34
79.2  26
67.0  21
46.7  15
81.7  12
84.4  11
65.6  11

Atomic structure:
Lattice parameters (Å, degrees): 4.816 4.816 4.816 130.63 130.63 72.41
Positions (direct):
1 Cd 0.000 0.000 0.000
2 Os 0.250 0.750 0.500
3 Os 0.500 0.500 0.000
4 Pt 0.750 0.250 0.500